No. 1
This entry pairs a crystal structure of NaCoPO4 with its calculated powder X-ray diffraction pattern. Radiation: a wavelength of 1.5418 Å. Structure: a cell relaxed with PBE+U.

Main lines, by angle (10° ≤ 2θ ≤ 90°):
| Position (°2θ) | d [Å] | intensity | (hkl) |
| --- | --- | --- | --- |
| 14.7 | 6.017 | 35 | 0 1 1 |
| 20.5 | 4.327 | 100 | 1 0 0 |
| 21.2 | 4.196 | 78 | 0 2 1 |
| 22.4 | 3.973 | 71 | 1 1 -2 |
| 24.3 | 3.663 | 27 | 1 2 -1 |
| 29.0 | 3.079 | 35 | 0 3 1 |
| 29.7 | 3.009 | 43 | 0 2 2 |
| 30.5 | 2.930 | 24 | 1 1 1 |
| 33.8 | 2.649 | 71 | 2 0 -2 |
| 34.3 | 2.615 | 80 | 1 2 -3 |
| 35.4 | 2.534 | 44 | 0 4 0 |
| 58.7 | 1.573 | 24 | 0 5 3 |

Structural model:
a = 5.2988 Å, b = 10.1379 Å, c = 9.1462 Å
α = 90.00°, β = 125.17°, γ = 90.00°
Space group P2_1/c (No. 14)
Asymmetric unit:
Na 0.2000 0.1189 0.4842 [4 per cell]
Co 0.3048 0.6693 0.5079 [4 per cell]
P 0.4200 0.0989 0.2201 [4 per cell]
O 0.1159 0.1302 0.2022 [4 per cell]
O 0.3055 0.6442 0.0879 [4 per cell]
O 0.4189 0.1730 0.0718 [4 per cell]
O 0.4649 0.5518 0.7142 [4 per cell]



No. 2
This entry pairs a crystal structure of NaCo2P2O9 with its calculated powder X-ray diffraction pattern. Radiation: a wavelength of 1.5418 Å. Structure: a cell relaxed with PBE+U.

Main lines, by angle (10° ≤ 2θ ≤ 90°):
| Position (°2θ) | d [Å] | intensity | (hkl) |
| --- | --- | --- | --- |
| 12.5 | 7.102 | 33 | 2 0 0 |
| 13.4 | 6.630 | 27 | 1 0 1 |
| 17.2 | 5.156 | 50 | 2 0 1 |
| 19.5 | 4.551 | 25 | 1 1 1 |
| 24.6 | 3.624 | 100 | 1 0 2 |
| 28.5 | 3.129 | 26 | 0 2 0 |
| 31.3 | 2.859 | 30 | 2 2 0 |
| 31.6 | 2.830 | 54 | 1 2 1 |
| 33.7 | 2.657 | 30 | 5 0 1 |
| 36.5 | 2.463 | 31 | 1 0 3 |
| 57.3 | 1.609 | 33 | 5 2 3 |
| 59.0 | 1.565 | 24 | 0 4 0 |

Structural model:
a = 14.2049 Å, b = 6.2576 Å, c = 7.4962 Å
α = 90.00°, β = 90.00°, γ = 90.00°
Space group Pnma (No. 62)
Asymmetric unit:
Na 0.2211 0.2500 0.1097 [4 per cell]
Co 0.0000 0.0000 0.0000 [4 per cell]
Co 0.1265 0.2500 0.6446 [4 per cell]
P 0.0641 0.7500 0.6390 [4 per cell]
P 0.1878 0.7500 0.1088 [4 per cell]
O 0.0068 0.2500 0.5097 [4 per cell]
O 0.0157 0.7500 0.8283 [4 per cell]
O 0.0461 0.2500 0.8721 [4 per cell]
O 0.1247 0.5474 0.0977 [8 per cell]
O 0.1310 0.5542 0.6360 [8 per cell]
O 0.2349 0.2500 0.4609 [4 per cell]
O 0.2476 0.7500 0.2824 [4 per cell]